1.
PaTe3Au: theoretical powder X-ray diffraction pattern (copper Kα), based on a cell relaxed with PBE.
No peak broadening, texture or thermal motion is included.

The 6 most intense peaks (2θ = 15–90°), in order of falling intensity:
hkl 1 3 -1, 37.2 deg, intensity 100
hkl 1 2 0, 27.0 deg, intensity 94
hkl 1 0 2, 26.8 deg, intensity 83
hkl 1 1 -4, 31.9 deg, intensity 76
hkl 1 2 1, 30.4 deg, intensity 69
hkl 2 2 -1, 33.9 deg, intensity 68

Atomic structure:
Cell lengths 7.4850, 7.6765, 12.1153 Å; angles 90.00, 120.24, 90.00 degrees
Space group P2_1/c (No. 14)
Symmetry-distinct sites (fractional):
Pa 0.1647 0.1465 0.2241 (multiplicity 4)
Te 0.0649 0.1922 0.9327 (multiplicity 4)
Te 0.2355 0.6383 0.9250 (multiplicity 4)
Te 0.4728 0.0849 0.7446 (multiplicity 4)
Au 0.2944 0.5241 0.3745 (multiplicity 4)

***

2.
SmGa2Pd2Pt: theoretical powder X-ray diffraction pattern (copper Kα), based on a cell relaxed with PBE.
No peak broadening, texture or thermal motion is included.

The 6 most intense peaks (2θ = 15–90°), in order of falling intensity:
hkl 1 0 2, 37.4 deg, intensity 100
hkl 2 0 0, 38.0 deg, intensity 77
hkl 2 1 2, 54.4 deg, intensity 68
hkl 1 1 0, 26.6 deg, intensity 67
hkl 2 2 0, 54.9 deg, intensity 26
hkl 0 0 1, 15.9 deg, intensity 21

Atomic structure:
Cell lengths 4.7318, 4.7318, 5.5778 Å; angles 90.00, 90.00, 90.00 degrees
Space group P4/mmm (No. 123)
Symmetry-distinct sites (fractional):
Sm 0.0000 0.0000 0.0000 (multiplicity 1)
Ga 0.0000 0.5000 0.5000 (multiplicity 2)
Pd 0.5000 0.5000 0.2437 (multiplicity 2)
Pt 0.0000 0.0000 0.5000 (multiplicity 1)

***

3.
ReTc5Ru: theoretical powder X-ray diffraction pattern (copper Kα), based on a cell relaxed with PBE.
No peak broadening, texture or thermal motion is included.

The 6 most intense peaks (2θ = 15–90°), in order of falling intensity:
hkl 2 2 2, 43.0 deg, intensity 100
hkl 0 4 0, 42.1 deg, intensity 25
hkl 0 0 4, 42.7 deg, intensity 24
hkl 2 1 1, 33.9 deg, intensity 23
hkl 0 4 4, 61.5 deg, intensity 14
hkl 2 6 2, 77.6 deg, intensity 13

Atomic structure:
Cell lengths 5.8744, 8.5855, 8.4757 Å; angles 90.00, 90.00, 90.00 degrees
Space group Imma (No. 74)
Symmetry-distinct sites (fractional):
Re 0.2500 0.2500 0.2500 (multiplicity 4)
Tc 0.0000 0.0299 0.7474 (multiplicity 8)
Tc 0.0000 0.2500 0.9680 (multiplicity 4)
Tc 0.2468 0.0000 0.0000 (multiplicity 8)
Ru 0.0000 0.2500 0.5291 (multiplicity 4)